Record 1
# HPb3ClO3
Simulated X-ray diffraction stick pattern, Cu Kα. Input: a structure optimized by DFT (GGA-PBE).

Most intense lines, 2θ from 15° to 90°, in order of rising 2θ:
2θ (°), Rel. int., (hkl)
22.71, 26, 1 1 2
26.13, 25, 1 1 3
27.38, 39, 1 0 4
29.63, 21, 1 2 0
30.08, 46, 2 0 0
30.24, 100, 1 1 4
31.83, 25, 1 2 2
41.53, 14, 2 2 2
51.02, 14, 1 2 7
52.94, 15, 2 3 3
53.52, 21, 3 1 4
55.08, 17, 1 4 1

Structure:
a b c (Å): 5.941 6.997 15.581
angles (deg): 90.00 90.00 90.00
Space group Pmc2_1 (No. 26)
Symmetry-distinct sites (fractional):
H 0.000 0.204 0.000 [2 per cell]
H 0.500 0.215 0.287 [2 per cell]
Pb 0.000 0.073 0.831 [2 per cell]
Pb 0.000 0.389 0.496 [2 per cell]
Pb 0.000 0.467 0.220 [2 per cell]
Pb 0.500 0.207 0.650 [2 per cell]
Pb 0.500 0.291 0.098 [2 per cell]
Pb 0.500 0.415 0.859 [2 per cell]
Cl 0.000 0.029 0.118 [2 per cell]
Cl 0.500 0.053 0.421 [2 per cell]
O 0.000 0.287 0.949 [2 per cell]
O 0.250 0.285 0.771 [4 per cell]
O 0.250 0.459 0.600 [4 per cell]
O 0.500 0.331 0.251 [2 per cell]

=====

Record 2
# Rb2UH4Cl4O4
Simulated X-ray diffraction stick pattern, Cu Kα. Input: a structure optimized by DFT (GGA-PBE).

Most intense lines, 2θ from 15° to 90°, in order of rising 2θ:
2θ (°), Rel. int., (hkl)
16.70, 82, 0 1 1
19.41, 78, 1 0 1
20.05, 69, 1 1 -1
24.93, 100, 1 -1 0
25.65, 47, 1 2 1
25.82, 54, -1 1 1
27.32, 37, 2 1 1
29.93, 73, 1 1 -2
30.91, 42, 0 1 -2
35.35, 35, 2 2 2
38.38, 35, 1 0 -3
41.41, 38, 1 3 2

Structure:
a b c (Å): 7.163 7.219 7.543
angles (deg): 78.24 88.10 60.49
Space group P-1 (No. 2)
Symmetry-distinct sites (fractional):
Rb 0.174 0.072 0.247 [2 per cell]
U 0.500 0.500 0.000 [1 per cell]
H 0.091 0.226 0.657 [2 per cell]
H 0.140 0.632 0.434 [2 per cell]
Cl 0.288 0.335 0.861 [2 per cell]
Cl 0.463 0.309 0.331 [2 per cell]
O 0.010 0.775 0.425 [2 per cell]
O 0.248 0.743 0.014 [2 per cell]

=====

Record 3
# SbH5Cl6O2
Simulated X-ray diffraction stick pattern, Cu Kα. Input: a structure optimized by DFT (GGA-PBE).

Most intense lines, 2θ from 15° to 90°, in order of rising 2θ:
2θ (°), Rel. int., (hkl)
15.89, 89, -1 1 1
16.37, 52, 1 -1 1
17.84, 100, 0 1 1
23.36, 59, 1 0 2
28.93, 47, 2 0 -1
29.98, 27, 2 0 0
32.09, 64, -2 2 2
36.26, 28, 1 0 4
36.80, 57, 2 0 2
38.71, 32, 2 1 -1
43.00, 28, 2 1 1
48.91, 29, 2 -1 5

Structure:
a b c (Å): 7.112 7.112 12.787
angles (deg): 96.29 99.83 119.75
Space group P1 (No. 1)
Symmetry-distinct sites (fractional):
Sb 0.000 0.000 0.000 [1 per cell]
Sb 0.005 0.501 0.506 [1 per cell]
H 0.313 0.821 0.176 [1 per cell]
H 0.352 0.362 0.670 [1 per cell]
H 0.366 0.167 0.603 [1 per cell]
H 0.423 0.722 0.104 [1 per cell]
H 0.469 0.220 0.749 [1 per cell]
H 0.533 0.780 0.253 [1 per cell]
H 0.569 0.265 0.904 [1 per cell]
H 0.624 0.820 0.402 [1 per cell]
H 0.651 0.638 0.331 [1 per cell]
H 0.698 0.184 0.837 [1 per cell]
Cl 0.002 0.843 0.162 [1 per cell]
Cl 0.005 0.163 0.842 [1 per cell]
Cl 0.077 0.747 0.909 [1 per cell]
Cl 0.169 0.331 0.411 [1 per cell]
Cl 0.196 0.828 0.429 [1 per cell]
Cl 0.326 0.663 0.664 [1 per cell]
Cl 0.405 0.269 0.078 [1 per cell]
Cl 0.602 0.735 0.926 [1 per cell]
Cl 0.686 0.340 0.344 [1 per cell]
Cl 0.814 0.177 0.581 [1 per cell]
Cl 0.844 0.670 0.598 [1 per cell]
Cl 0.926 0.259 0.096 [1 per cell]
O 0.361 0.229 0.674 [1 per cell]
O 0.446 0.810 0.175 [1 per cell]
O 0.560 0.188 0.832 [1 per cell]
O 0.641 0.772 0.332 [1 per cell]

=====

Record 4
# SbH5Cl6O2
Simulated X-ray diffraction stick pattern, Cu Kα. Input: a structure optimized by DFT (GGA-PBE).

Most intense lines, 2θ from 15° to 90°, in order of rising 2θ:
2θ (°), Rel. int., (hkl)
15.96, 82, 2 0 0
16.53, 49, 2 0 -2
17.66, 100, 1 1 1
23.21, 51, 1 1 -3
25.56, 22, 2 0 2
28.71, 29, 2 2 -1
29.33, 24, 1 1 -4
29.78, 23, 2 2 -2
32.24, 59, 4 0 0
35.99, 27, 1 1 -5
36.58, 68, 2 2 -4
42.47, 34, 1 3 -3

Structure:
a b c (Å): 12.167 7.238 13.564
angles (deg): 90.00 114.09 90.00
Space group C2/c (No. 15)
Symmetry-distinct sites (fractional):
Sb 0.250 0.250 0.000 [4 per cell]
H 0.000 0.218 0.250 [4 per cell]
H 0.051 0.221 0.399 [8 per cell]
H 0.087 0.282 0.167 [8 per cell]
Cl 0.037 0.291 0.908 [8 per cell]
Cl 0.219 0.046 0.568 [8 per cell]
Cl 0.246 0.403 0.159 [8 per cell]
O 0.020 0.207 0.170 [8 per cell]

=====

Record 5
# SbH5Cl6O2
Simulated X-ray diffraction stick pattern, Cu Kα. Input: a structure optimized by DFT (GGA-PBE).

Most intense lines, 2θ from 15° to 90°, in order of rising 2θ:
2θ (°), Rel. int., (hkl)
15.88, 80, 2 0 0
16.45, 48, 2 0 -2
17.64, 100, 1 1 1
23.17, 51, 1 1 -3
28.69, 29, 2 2 -1
29.27, 23, 1 1 -4
29.76, 24, 2 2 -2
32.07, 56, 4 0 0
35.91, 26, 1 1 -5
36.52, 68, 2 2 -4
42.47, 33, 1 3 -3
45.91, 27, 5 1 1

Structure:
a b c (Å): 12.233 7.232 13.602
angles (deg): 90.00 114.14 90.00
Space group C2 (No. 5)
Symmetry-distinct sites (fractional):
Sb 0.249 0.000 0.251 [4 per cell]
H 0.000 0.531 0.000 [2 per cell]
H 0.000 0.971 0.500 [2 per cell]
H 0.051 0.523 0.149 [4 per cell]
H 0.052 0.963 0.650 [4 per cell]
H 0.085 0.030 0.416 [4 per cell]
H 0.087 0.474 0.919 [4 per cell]
Cl 0.039 0.045 0.160 [4 per cell]
Cl 0.039 0.460 0.657 [4 per cell]
Cl 0.217 0.707 0.320 [4 per cell]
Cl 0.218 0.798 0.818 [4 per cell]
Cl 0.244 0.158 0.408 [4 per cell]
Cl 0.246 0.348 0.907 [4 per cell]
O 0.018 0.542 0.920 [4 per cell]
O 0.018 0.958 0.420 [4 per cell]